Diffraction record for VRh3. The powder diffraction line list is simulated, not measured: it uses a DFT-relaxed cell (GGA-PBE, the Materials Project) and Cu Ka.

Largest 10 diffraction maxima, by intensity, 2θ = 5–70°:
two_theta  I/Imax  index
43.8  100  2 0 1
41.8  26  0 0 2
38.2  25  2 0 0
69.1  16  2 2 0
57.9  14  2 0 2
28.0  8  1 0 1
33.0  3  1 1 0
18.9  3  1 0 0
55.9  2  2 1 1
54.2  2  1 1 2

Structural model:
```
data_VRh3
_cell_length_a 5.4346
_cell_length_b 5.4346
_cell_length_c 4.3259
_cell_angle_alpha 90.00
_cell_angle_beta 90.00
_cell_angle_gamma 120.00
_space_group_name_H-M_alt 'P 63/m m c'
_space_group_IT_number 194
_space_group_name_Hall '-P 6c 2c'
loop_
_atom_site_label
_atom_site_type_symbol
_atom_site_fract_x
_atom_site_fract_y
_atom_site_fract_z
V1 V 0.3333 0.6667 0.2500
Rh1 Rh 0.1677 0.3354 0.7500
```



Diffraction record for SiSn3. The powder diffraction line list is simulated, not measured: it uses a DFT-relaxed cell (GGA-PBE, the Materials Project) and Cu Ka.

Largest 10 diffraction maxima, by intensity, 2θ = 5–70°:
two_theta  I/Imax  index
31.0  100  1 -1 1
33.5  83  1 1 -1
34.1  78  0 1 1
35.2  71  1 0 -2
36.5  66  1 -2 0
37.5  62  -2 1 1
46.2  34  2 0 0
46.4  33  0 2 -2
22.7  23  1 0 0
21.9  21  1 0 -1

Structural model:
```
data_SiSn3
_cell_length_a 4.8899
_cell_length_b 5.0034
_cell_length_c 5.2279
_cell_angle_alpha 100.38
_cell_angle_beta 110.28
_cell_angle_gamma 114.47
_space_group_name_H-M_alt 'P -1'
_space_group_IT_number 2
_space_group_name_Hall '-P 1'
loop_
_atom_site_label
_atom_site_type_symbol
_atom_site_fract_x
_atom_site_fract_y
_atom_site_fract_z
Si1 Si 0.0000 0.0000 0.0000
Sn1 Sn 0.0000 0.5000 0.5000
Sn2 Sn 0.4933 0.7470 0.2274
```